1.
The following is a theoretical X-ray powder pattern of ZrSc2In5. It was derived from a DFT-relaxed cell (GGA-PBE, OQMD), using Cu Kα, 1.54184 Å.
Intensities are scaled so that the largest is 100.

Top 6 peaks for 15° ≤ 2θ ≤ 90°, sorted by position:
d [Å]  2θ/deg  I_rel
2.741  32.67  24
2.633  34.06  28
2.431  36.97  100
1.583  58.30  17
1.478  62.88  20
1.356  69.27  20

Cell and atoms:
```
ZrSc2In5
1.0
5.2651 0.0000 0.0000
0.0000 6.3357 0.0000
0.0000 0.0000 10.9551
Zr Sc In
2 4 10
Cartesian
0.0000 0.0000 0.0000
0.0000 3.1679 5.4775
0.0000 0.0000 5.5093
0.0000 3.1679 0.0317
2.6326 0.0000 9.1693
2.6326 3.1679 3.6918
0.0000 1.5744 2.7579
0.0000 1.5935 8.2354
0.0000 4.7423 8.2354
0.0000 4.7613 2.7579
2.6326 0.0000 3.6434
2.6326 1.5814 0.8739
2.6326 1.5865 6.3514
2.6326 3.1679 9.1210
2.6326 4.7543 0.8739
2.6326 4.7493 6.3514
```

2.
The following is a theoretical X-ray powder pattern of Zr3Sc2In3. It was derived from a DFT-relaxed cell (GGA-PBE, OQMD), using Cu Kα, 1.54184 Å.
Intensities are scaled so that the largest is 100.

Top 6 peaks for 15° ≤ 2θ ≤ 90°, sorted by position:
d [Å]  2θ/deg  I_rel
2.743  32.65  24
2.621  34.20  28
2.430  36.99  100
1.584  58.26  17
1.474  63.07  20
1.355  69.33  20

Cell and atoms:
```
Zr3Sc2In3
1.0
6.3344 0.0000 0.0000
-3.1672 5.4858 0.0000
0.0000 0.0000 5.2429
Zr Sc In
3 2 3
Cartesian
-1.5700 2.7507 0.0000
1.5700 2.7507 0.0000
0.0000 5.4701 0.0000
0.0000 0.0000 0.0000
3.1672 1.8286 2.6215
0.0000 1.8553 2.6215
-1.5605 4.5581 2.6215
1.5604 4.5581 2.6215
```

3.
The following is a theoretical X-ray powder pattern of Sr2InTcSe6. It was derived from a DFT-relaxed cell (GGA-PBE, OQMD), using Cu Kα, 1.54184 Å.
Intensities are scaled so that the largest is 100.

Top 6 peaks for 15° ≤ 2θ ≤ 90°, sorted by position:
d [Å]  2θ/deg  I_rel
3.327  26.79  42
3.254  27.41  44
3.004  29.74  60
2.546  35.25  100
2.527  35.53  48
2.461  36.51  71

Cell and atoms:
```
Sr2InTcSe6
1.0
6.5476 0.0000 0.0000
2.7065 6.1460 0.0000
2.9185 1.6826 6.4480
Sr In Tc Se
2 1 1 6
Cartesian
3.0699 2.1234 1.6565
9.1027 5.7053 4.7914
0.0000 0.0000 0.0000
6.0863 3.9143 3.2240
4.1207 5.2004 2.2275
5.8803 5.2732 5.3930
4.7290 2.1771 4.3717
7.4437 5.6515 2.0763
6.2923 2.5555 1.0550
8.0520 2.6282 4.2205
```

4.
The following is a theoretical X-ray powder pattern of TaInSe2. It was derived from a DFT-relaxed cell (GGA-PBE, OQMD), using Cu Kα, 1.54184 Å.
Intensities are scaled so that the largest is 100.

Top 6 peaks for 15° ≤ 2θ ≤ 90°, sorted by position:
d [Å]  2θ/deg  I_rel
4.715  18.82  31
2.975  30.04  47
2.837  31.54  60
2.516  35.69  29
2.161  41.81  100
1.717  53.34  33

Cell and atoms:
```
TaInSe2
1.0
3.4350 0.0000 0.0000
-1.7175 2.9748 0.0000
0.0000 0.0000 9.4300
Ta In Se
1 1 2
Cartesian
0.0000 0.0000 0.0000
1.7175 0.9916 4.7150
1.7175 0.9916 1.6846
1.7175 0.9916 7.7455
```

5.
The following is a theoretical X-ray powder pattern of ZnIn2Te3Se. It was derived from a DFT-relaxed cell (GGA-PBE, OQMD), using Cu Kα, 1.54184 Å.
Intensities are scaled so that the largest is 100.

Top 6 peaks for 15° ≤ 2θ ≤ 90°, sorted by position:
d [Å]  2θ/deg  I_rel
3.592  24.79  41
3.536  25.18  100
2.191  41.20  17
2.184  41.33  34
2.166  41.71  32
2.153  41.97  14

Cell and atoms:
```
ZnIn2Te3Se
1.0
6.1236 0.0000 0.0000
0.0869 6.1411 0.0000
3.0464 2.9997 6.1823
Zn In Te Se
1 2 3 1
Cartesian
0.0000 0.0000 0.0000
3.0077 6.1087 3.0031
6.0471 6.1747 6.1732
4.6605 4.3550 4.5010
4.7584 1.6603 1.6342
7.5472 7.9186 4.5091
1.3652 4.6060 1.5325
```

6.
The following is a theoretical X-ray powder pattern of ZnIn2Te2Se2. It was derived from a DFT-relaxed cell (GGA-PBE, OQMD), using Cu Kα, 1.54184 Å.
Intensities are scaled so that the largest is 100.

Top 6 peaks for 15° ≤ 2θ ≤ 90°, sorted by position:
d [Å]  2θ/deg  I_rel
3.515  25.34  100
3.465  25.71  77
2.626  34.15  22
2.169  41.63  23
2.137  42.30  42
2.128  42.47  39

Cell and atoms:
```
ZnIn2Te2Se2
1.0
5.9946 0.0000 0.0000
-0.0018 6.0466 0.0000
-2.9864 -2.8908 6.0932
Zn In Te Se
1 2 2 2
Cartesian
0.0000 0.0000 0.0000
2.9938 2.8273 0.0096
2.8966 -0.0418 3.0514
-1.3850 1.7501 4.4375
4.7320 4.3486 1.6601
1.3060 1.4817 1.5549
1.4359 -1.6864 4.5529
```

7.
The following is a theoretical X-ray powder pattern of TmTlInSe3. It was derived from a DFT-relaxed cell (GGA-PBE, OQMD), using Cu Kα, 1.54184 Å.
Intensities are scaled so that the largest is 100.

Top 6 peaks for 15° ≤ 2θ ≤ 90°, sorted by position:
d [Å]  2θ/deg  I_rel
3.798  23.42  35
3.052  29.26  48
3.019  29.58  35
2.769  32.34  100
2.654  33.78  56
2.022  44.82  36

Cell and atoms:
```
TmTlInSe3
1.0
14.7064 0.0000 0.0000
0.0000 4.0441 0.0000
0.0000 0.0000 12.0154
Tm Tl In Se
4 4 4 12
Cartesian
0.0160 1.0110 1.7706
7.3372 3.0331 7.7784
7.3692 1.0110 4.2371
14.6904 3.0331 10.2448
3.3872 1.0110 5.0293
3.9660 3.0331 11.0370
10.7404 1.0110 0.9784
11.3192 3.0331 6.9862
0.4699 1.0110 7.1735
6.8833 3.0331 1.1658
7.8230 1.0110 10.8496
14.2365 3.0331 4.8419
1.5452 3.0331 3.0631
1.5537 1.0110 11.4513
1.9919 3.0331 8.1624
5.3613 1.0110 2.1546
5.7995 3.0331 5.4436
5.8080 1.0110 9.0708
8.8983 3.0331 2.9447
8.9069 1.0110 6.5718
9.3451 3.0331 9.8608
12.7145 1.0110 3.8531
13.1527 3.0331 0.5641
13.1612 1.0110 8.9524
```

8.
The following is a theoretical X-ray powder pattern of ZrTlInSe3. It was derived from a DFT-relaxed cell (GGA-PBE, OQMD), using Cu Kα, 1.54184 Å.
Intensities are scaled so that the largest is 100.

Top 6 peaks for 15° ≤ 2θ ≤ 90°, sorted by position:
d [Å]  2θ/deg  I_rel
4.611  19.25  37
3.131  28.51  100
2.828  31.64  57
2.257  39.95  26
2.099  43.10  64
1.939  46.86  22

Cell and atoms:
```
ZrTlInSe3
1.0
1.9385 -7.9606 0.0000
1.9385 7.9606 0.0000
0.0000 0.0000 11.3130
Zr Tl In Se
2 2 2 6
Cartesian
0.0000 0.0000 0.0000
0.0000 0.0000 5.6565
1.9385 3.1623 8.4847
1.9385 -3.1623 2.8282
1.9385 2.1206 2.8282
1.9385 -2.1206 8.4847
1.9385 7.8713 8.4847
1.9385 1.8728 5.7406
1.9385 1.8728 11.2289
1.9385 -1.8728 0.0841
1.9385 -1.8728 5.5724
1.9385 -7.8713 2.8282
```

9.
The following is a theoretical X-ray powder pattern of YZnInSe3. It was derived from a DFT-relaxed cell (GGA-PBE, OQMD), using Cu Kα, 1.54184 Å.
Intensities are scaled so that the largest is 100.

Top 6 peaks for 15° ≤ 2θ ≤ 90°, sorted by position:
d [Å]  2θ/deg  I_rel
3.129  28.53  100
2.980  29.99  42
2.956  30.24  60
2.162  41.79  22
2.080  43.50  31
1.929  47.11  21

Cell and atoms:
```
YZnInSe3
1.0
9.9646 0.0000 0.0000
0.0000 4.1606 0.0000
0.0000 0.0000 15.6147
Y Zn In Se
4 4 4 12
Cartesian
1.7783 1.0402 0.7916
3.2040 3.1205 8.5990
6.7606 1.0402 7.0157
8.1863 3.1205 14.8231
1.7376 3.1205 13.4273
3.2447 1.0402 5.6199
6.7199 3.1205 9.9948
8.2270 1.0402 2.1874
0.3272 3.1205 4.8678
4.6551 1.0402 12.6752
5.3095 3.1205 2.9395
9.6374 1.0402 10.7469
0.1501 1.0402 13.9460
1.6664 1.0402 7.4515
1.9003 3.1205 11.0404
3.0820 1.0402 3.2331
3.3159 3.1205 15.2589
4.8322 3.1205 6.1386
5.1324 1.0402 9.4761
6.6487 1.0402 0.3558
6.8826 3.1205 12.3816
8.0643 1.0402 4.5743
8.2982 3.1205 8.1632
9.8145 3.1205 1.6687
```

10.
The following is a theoretical X-ray powder pattern of Zn2In2Si3. It was derived from a DFT-relaxed cell (GGA-PBE, OQMD), using Cu Kα, 1.54184 Å.
Intensities are scaled so that the largest is 100.

Top 6 peaks for 15° ≤ 2θ ≤ 90°, sorted by position:
d [Å]  2θ/deg  I_rel
3.271  27.26  84
2.381  37.78  100
2.250  40.07  57
1.925  47.21  19
1.635  56.25  20
1.348  69.76  21

Cell and atoms:
```
Zn2In2Si3
1.0
2.3812 1.3748 7.1597
-2.3812 1.3748 7.1597
0.0000 -2.7496 7.1597
Zn In Si
2 2 3
Cartesian
0.0000 0.0000 0.0000
0.0000 0.0000 10.2540
0.0000 0.0000 4.7297
0.0000 0.0000 15.9307
0.0000 0.0000 7.7600
0.0000 0.0000 12.8183
0.0000 0.0000 18.8604
```

11.
The following is a theoretical X-ray powder pattern of Sm3In5. It was derived from a DFT-relaxed cell (GGA-PBE, OQMD), using Cu Kα, 1.54184 Å.
Intensities are scaled so that the largest is 100.

Top 6 peaks for 15° ≤ 2θ ≤ 90°, sorted by position:
d [Å]  2θ/deg  I_rel
2.713  33.01  100
2.670  33.56  22
2.633  34.05  27
2.611  34.35  35
2.519  35.64  24
2.318  38.85  22

Cell and atoms:
```
Sm3In5
1.0
5.0378 -4.0914 0.0000
5.0378 4.0914 0.0000
0.0000 0.0000 10.4428
Sm In
6 10
Cartesian
5.0378 3.0813 7.8321
2.9745 0.0000 0.0000
2.9745 0.0000 5.2214
7.1011 0.0000 0.0000
7.1011 0.0000 5.2214
5.0378 -3.0813 2.6107
2.1676 1.7386 7.8321
5.0378 2.5094 0.4899
5.0378 2.5094 4.7315
2.1676 -1.7386 2.6107
5.0378 0.0553 2.6107
5.0378 -0.0553 7.8321
7.9080 1.7386 7.8321
5.0378 -2.5094 5.7113
5.0378 -2.5094 9.9529
7.9080 -1.7386 2.6107
```

12.
The following is a theoretical X-ray powder pattern of Sm3In5. It was derived from a DFT-relaxed cell (GGA-PBE, OQMD), using Cu Kα, 1.54184 Å.
Intensities are scaled so that the largest is 100.

Top 6 peaks for 15° ≤ 2θ ≤ 90°, sorted by position:
d [Å]  2θ/deg  I_rel
2.719  32.94  100
2.674  33.51  24
2.637  34.00  29
2.622  34.20  37
2.520  35.63  25
2.323  38.76  23

Cell and atoms:
```
Sm3In5
1.0
5.0393 -4.0981 0.0000
5.0393 4.0981 0.0000
0.0000 0.0000 10.4883
Sm In
6 10
Cartesian
5.0393 3.0664 7.8662
2.9896 0.0000 0.0000
2.9896 0.0000 5.2441
7.0890 0.0000 0.0000
7.0890 0.0000 5.2441
5.0393 -3.0664 2.6221
2.1672 1.7174 7.8662
5.0393 2.5312 0.4914
5.0393 2.5312 4.7527
2.1672 -1.7174 2.6221
5.0393 0.0858 2.6221
5.0393 -0.0858 7.8662
7.9115 1.7174 7.8662
5.0393 -2.5312 5.7356
5.0393 -2.5312 9.9969
7.9115 -1.7174 2.6221
```